LiYMg14O16: computed XRD peak list (Cu Kα X-rays), based on DFT lattice parameters and positions (GGA-PBE).

Crystal structure
Cell: 4.314 8.609 8.646 Å, 90.00 90.00 90.00°
Atoms (fractional coordinates):
Li 0.000 0.000 0.000
Y 0.000 0.000 0.500
Mg 0.000 0.253 0.238
Mg 0.000 0.253 0.762
Mg 0.000 0.500 0.000
Mg 0.000 0.500 0.500
Mg 0.000 0.747 0.238
Mg 0.000 0.747 0.762
Mg 0.500 0.000 0.230
Mg 0.500 0.000 0.770
Mg 0.500 0.246 0.000
Mg 0.500 0.262 0.500
Mg 0.500 0.500 0.246
Mg 0.500 0.500 0.754
Mg 0.500 0.738 0.500
Mg 0.500 0.754 0.000
O 0.000 0.000 0.244
O 0.000 0.000 0.756
O 0.000 0.260 0.500
O 0.000 0.261 0.000
O 0.000 0.500 0.251
O 0.000 0.500 0.749
O 0.000 0.739 0.000
O 0.000 0.740 0.500
O 0.500 0.000 0.000
O 0.500 0.000 0.500
O 0.500 0.249 0.252
O 0.500 0.249 0.748
O 0.500 0.500 0.000
O 0.500 0.500 0.500
O 0.500 0.751 0.252
O 0.500 0.751 0.748

Principal peaks in the range 10° ≤ 2θ ≤ 90°, in order of falling intensity:
h k l  d (Å)  intensity
2 0 0  2.159  100
2 0 4  1.526  56
0 4 0  2.152  50
2 4 0  1.524  28
2 4 4  1.245  25
1 2 2  2.491  22
0 0 1  8.639  18
0 2 1  3.857  17
0 1 1  6.101  16
0 0 3  2.877  15